# 1
This entry pairs a crystal structure of Cs4MnSb2Cl12 with its computed powder diffractogram. Radiation: Cu Ka. Structure: a DFT-relaxed cell (GGA-PBE, the Materials Project).
Kinematic intensities with the Lorentz-polarization factor, no thermal factor.

Main lines, sorted by position (2θ = 10–80°):
2θ 14.14, 6.266 Å, I = 17; 2θ 23.18, 3.837 Å, I = 99; 2θ 23.32, 3.815 Å, I = 48; 2θ 28.49, 3.133 Å, I = 42; 2θ 33.08, 2.708 Å, I = 100; 2θ 40.69, 2.217 Å, I = 28; 2θ 40.81, 2.211 Å, I = 22; 2θ 41.01, 2.201 Å, I = 16; 2θ 47.34, 1.920 Å, I = 34; 2θ 47.67, 1.908 Å, I = 22

Atomic structure:
Cell: 7.683 7.683 13.189 Å, 106.76 106.76 59.95°
Atoms (fractional coordinates):
Cs  0.123  0.123  0.369
Cs  0.373  0.373  0.119
Cs  0.627  0.627  0.881
Cs  0.877  0.877  0.631
Mn  0.000  0.000  0.000
Sb  0.250  0.250  0.747
Sb  0.750  0.750  0.253
Cl  0.099  0.632  0.368
Cl  0.115  0.115  0.881
Cl  0.116  0.649  0.882
Cl  0.351  0.884  0.118
Cl  0.367  0.367  0.633
Cl  0.368  0.901  0.632
Cl  0.632  0.099  0.368
Cl  0.633  0.633  0.367
Cl  0.649  0.116  0.882
Cl  0.884  0.351  0.118
Cl  0.885  0.885  0.119
Cl  0.901  0.368  0.632

# 2
This entry pairs a crystal structure of KCu4Sb2 with its computed powder diffractogram. Radiation: Cu Ka. Structure: a DFT-relaxed cell (GGA-PBE, the Materials Project).
Kinematic intensities with the Lorentz-polarization factor, no thermal factor.

Main lines, sorted by position (2θ = 10–80°):
2θ 27.26, 3.271 Å, I = 42; 2θ 33.33, 2.688 Å, I = 19; 2θ 35.78, 2.509 Å, I = 31; 2θ 41.15, 2.194 Å, I = 65; 2θ 41.89, 2.156 Å, I = 100; 2θ 43.13, 2.098 Å, I = 24; 2θ 50.11, 1.821 Å, I = 24; 2θ 52.17, 1.753 Å, I = 18; 2θ 60.17, 1.538 Å, I = 20; 2θ 76.01, 1.252 Å, I = 20

Atomic structure:
Cell: 9.372 9.372 9.372 Å, 26.61 26.61 26.61°
Atoms (fractional coordinates):
K  0.000  0.000  0.000
Cu  0.143  0.143  0.143
Cu  0.452  0.452  0.452
Cu  0.548  0.548  0.548
Cu  0.857  0.857  0.857
Sb  0.243  0.243  0.243
Sb  0.757  0.757  0.757